Simulated PXRD pattern of CaMnMoO4 for Cu Kα (weighted mean of Kα1 and Kα2), from a DFT-relaxed cell (PBE+U, Alexandria).
Kinematic intensities with the Lorentz-polarization factor, no thermal factor.

Cell and atoms:
a b c (Å): 6.2571 6.5497 8.9334
angles (deg): 90.00 90.00 90.00
Space group Imma (No. 74)
Unique sites:
Ca: 0.0000 0.2500 0.1260
Mn: 0.2500 0.2500 0.7500
Mo: 0.0000 0.0000 0.5000
O: 0.0000 0.0447 0.7416
O: 0.2234 0.2500 0.5252

Peak list (12 most intense, 5 to 70 degrees two-theta, by angle)
Position (°2θ)	d/Å	I/Imax
16.78	5.282	30
17.30	5.125	88
28.07	3.179	20
32.44	2.760	100
33.31	2.690	91
33.94	2.641	26
35.02	2.563	22
39.85	2.262	53
40.39	2.233	25
52.10	1.755	20
53.07	1.725	41
58.03	1.589	65